[1]
Starting from the PBE geometry in Alexandria, the powder X-ray diffraction pattern of Y4Pt5 was calculated for copper Kα.
Lines closer than 0.1° are merged.

Structure:
```
data_Y4Pt5
_chemical_formula_sum 'Y8 Pt10'
_space_group_name_H-M_alt 'P 63/m c m'
_space_group_IT_number 193
_space_group_name_Hall '-P 6c 2'
_cell_length_a 8.5403
_cell_length_b 8.5403
_cell_length_c 5.9981
_cell_angle_alpha 90.00
_cell_angle_beta 90.00
_cell_angle_gamma 120.00
loop_
_atom_site_label
_atom_site_type_symbol
_atom_site_fract_x
_atom_site_fract_y
_atom_site_fract_z
Y1 Y 0.0000 0.0000 0.0000
Y2 Y 0.0000 0.3752 0.2500
Pt1 Pt 0.0000 0.2907 0.7500
Pt2 Pt 0.3333 0.6667 0.0000
```

Top 8 peaks for 2θ from 15° to 90°, by angle:
- 3.479 Å, 25.61 deg, I 20, (1 1 1)
- 2.534 Å, 35.43 deg, I 30, (2 1 1)
- 2.465 Å, 36.44 deg, I 89, (3 0 0)
- 2.454 Å, 36.62 deg, I 100, (1 1 2)
- 1.739 Å, 52.62 deg, I 30, (2 2 2)
- 1.421 Å, 65.70 deg, I 24, (4 1 2)
- 1.281 Å, 73.99 deg, I 23, (3 0 4)
- 1.102 Å, 88.81 deg, I 11, (5 2 2)

=====

[2]
Starting from the PBE geometry in Alexandria, the powder X-ray diffraction pattern of CeAlSi2Pd5 was calculated for copper Kα.
Lines closer than 0.1° are merged.

Structure:
```
data_CeAlSi2Pd5
_chemical_formula_sum 'Ce1 Al1 Si2 Pd5'
_space_group_name_H-M_alt 'P 4/m m m'
_space_group_IT_number 123
_space_group_name_Hall '-P 4 2'
_cell_length_a 4.0753
_cell_length_b 4.0753
_cell_length_c 10.3151
_cell_angle_alpha 90.00
_cell_angle_beta 90.00
_cell_angle_gamma 90.00
loop_
_atom_site_label
_atom_site_type_symbol
_atom_site_fract_x
_atom_site_fract_y
_atom_site_fract_z
Ce1 Ce 0.0000 0.0000 0.0000
Al1 Al 0.0000 0.0000 0.5000
Si1 Si 0.5000 0.5000 0.2272
Pd1 Pd 0.0000 0.5000 0.3498
Pd2 Pd 0.5000 0.5000 0.0000
```

Top 8 peaks for 2θ from 15° to 90°, by angle:
- 3.438 Å, 25.91 deg, I 70, (0 0 3)
- 2.775 Å, 32.25 deg, I 100, (1 1 1)
- 2.516 Å, 35.69 deg, I 41, (1 1 2)
- 2.038 Å, 44.46 deg, I 51, (2 0 0)
- 1.922 Å, 47.30 deg, I 65, (1 1 4)
- 1.753 Å, 52.18 deg, I 40, (2 0 3)
- 1.279 Å, 74.15 deg, I 17, (3 1 1)
- 1.153 Å, 83.94 deg, I 24, (3 1 4)

=====

[3]
Starting from the PBE geometry in Alexandria, the powder X-ray diffraction pattern of Li2MgIrF8 was calculated for copper Kα.
Lines closer than 0.1° are merged.

Structure:
```
data_Li2MgIrF8
_chemical_formula_sum 'Li2 Mg1 Ir1 F8'
_space_group_name_H-M_alt 'P 1 2/m 1'
_space_group_IT_number 10
_space_group_name_Hall '-P 2y'
_cell_length_a 4.7202
_cell_length_b 6.3157
_cell_length_c 4.7305
_cell_angle_alpha 90.00
_cell_angle_beta 92.75
_cell_angle_gamma 90.00
loop_
_atom_site_label
_atom_site_type_symbol
_atom_site_fract_x
_atom_site_fract_y
_atom_site_fract_z
Li1 Li 0.0000 0.2208 0.0000
Mg1 Mg 0.5000 0.0000 0.5000
Ir1 Ir 0.5000 0.5000 0.5000
F1 F 0.2029 0.5000 0.2017
F2 F 0.2060 0.0000 0.2050
F3 F 0.3103 0.2608 0.6882
```

Top 8 peaks for 2θ from 15° to 90°, by angle:
- 4.720 Å, 18.80 deg, I 100, (1 0 0)
- 3.781 Å, 23.53 deg, I 72, (1 1 0)
- 3.421 Å, 26.05 deg, I 32, (1 0 -1)
- 3.260 Å, 27.36 deg, I 26, (1 0 1)
- 2.625 Å, 34.16 deg, I 30, (1 2 0)
- 2.320 Å, 38.81 deg, I 41, (1 2 -1)
- 2.071 Å, 43.70 deg, I 22, (1 0 2)
- 1.779 Å, 51.37 deg, I 23, (2 2 -1)

=====

[4]
Starting from the PBE geometry in Alexandria, the powder X-ray diffraction pattern of Ce2Ge3Pt was calculated for copper Kα.
Lines closer than 0.1° are merged.

Structure:
```
data_Ce2Ge3Pt
_chemical_formula_sum 'Ce16 Ge24 Pt8'
_space_group_name_H-M_alt 'F m m m'
_space_group_IT_number 69
_space_group_name_Hall '-F 2 2'
_cell_length_a 8.3165
_cell_length_b 8.5519
_cell_length_c 14.7834
_cell_angle_alpha 90.00
_cell_angle_beta 90.00
_cell_angle_gamma 90.00
loop_
_atom_site_label
_atom_site_type_symbol
_atom_site_fract_x
_atom_site_fract_y
_atom_site_fract_z
Ce1 Ce 0.2501 0.0000 0.0000
Ce2 Ce 0.2500 0.2500 0.2500
Ge1 Ge 0.0000 0.0000 0.1662
Ge2 Ge 0.0000 0.2485 0.4166
Pt1 Pt 0.0000 0.0000 0.3324
```

Top 8 peaks for 2θ from 15° to 90°, by angle:
- 3.798 Å, 23.42 deg, I 8, (1 1 3)
- 2.764 Å, 32.39 deg, I 100, (2 2 2)
- 2.136 Å, 42.32 deg, I 49, (0 4 0)
- 2.079 Å, 43.53 deg, I 15, (4 0 0)
- 1.690 Å, 54.28 deg, I 23, (2 0 8)
- 1.490 Å, 62.32 deg, I 31, (4 4 0)
- 1.326 Å, 71.11 deg, I 14, (2 4 8)
- 1.298 Å, 72.87 deg, I 10, (6 2 2)